Entry 1:
Structure and calculated powder diffractogram of Mn2FeO6 (a cell relaxed with PBE+U; a wavelength of 1.5418 Å).
Neutral-atom scattering factors, no anomalous dispersion.

Structural model:
Unit cell a=5.8637 b=5.9099 c=14.2978 alpha=89.29 beta=89.45 gamma=60.62
Positions (direct):
Mn1 0.0000 0.0000 0.0000
Mn2 0.1632 0.1680 0.8331
Mn3 0.1670 0.6664 0.3336
Mn4 0.3319 0.3342 0.6666
Mn5 0.5000 0.5000 0.5000
Mn6 0.6681 0.6658 0.3334
Mn7 0.8330 0.3336 0.6664
Mn8 0.8368 0.8320 0.1669
Fe1 0.0000 0.5000 0.0000
Fe2 0.3330 0.8329 0.6667
Fe3 0.5000 0.0000 0.0000
Fe4 0.6670 0.1671 0.3333
O1 0.0140 0.0277 0.7462
O2 0.0195 0.4578 0.7437
O3 0.1294 0.6930 0.0794
O4 0.1592 0.1665 0.0689
O5 0.1641 0.1729 0.5987
O6 0.2096 0.6393 0.5873
O7 0.2999 0.3253 0.9182
O8 0.3023 0.8798 0.9194
O9 0.3500 0.3592 0.4130
O10 0.3558 0.7895 0.4114
O11 0.4547 0.0295 0.7467
O12 0.4979 0.5068 0.2654
O13 0.5021 0.4932 0.7346
O14 0.5453 0.9705 0.2533
O15 0.6442 0.2105 0.5886
O16 0.6500 0.6408 0.5870
O17 0.6977 0.1202 0.0806
O18 0.7001 0.6747 0.0818
O19 0.7904 0.3607 0.4127
O20 0.8359 0.8271 0.4013
O21 0.8408 0.8335 0.9311
O22 0.8706 0.3070 0.9206
O23 0.9805 0.5422 0.2563
O24 0.9860 0.9723 0.2538

Main lines, by angle (2θ from 10° to 80°):
| Position (°2θ) | I/Imax |
| --- | --- |
| 18.26 | 53 |
| 18.42 | 53 |
| 18.61 | 100 |
| 35.53 | 19 |
| 43.47 | 67 |
| 43.63 | 33 |



Entry 2:
Structure and calculated powder diffractogram of MnFe2O4 (a cell relaxed with PBE+U; a wavelength of 1.5418 Å).
Neutral-atom scattering factors, no anomalous dispersion.

Structural model:
Unit cell a=5.1490 b=5.1490 c=10.0440 alpha=90.00 beta=90.00 gamma=146.32
Positions (direct):
Mn1 0.1113 0.8887 0.7500
Mn2 0.8887 0.1113 0.2500
Fe1 0.3668 0.6332 0.5724
Fe2 0.3668 0.6332 0.9276
Fe3 0.6332 0.3668 0.0724
Fe4 0.6332 0.3668 0.4276
O1 0.0000 0.0000 0.0000
O2 0.0000 0.0000 0.5000
O3 0.2695 0.7305 0.1112
O4 0.2695 0.7305 0.3888
O5 0.4536 0.5464 0.7500
O6 0.5464 0.4536 0.2500
O7 0.7305 0.2695 0.6112
O8 0.7305 0.2695 0.8888

Main lines, by angle (2θ from 10° to 80°):
| Position (°2θ) | I/Imax |
| --- | --- |
| 32.33 | 100 |
| 32.60 | 28 |
| 36.19 | 22 |
| 41.88 | 49 |
| 44.83 | 42 |
| 63.00 | 33 |